# La5Pm5Sm2
Calculated XRD peak list, a wavelength of 1.5418 Å. Input: a PBE-relaxed structure.
Kinematic intensities with the Lorentz-polarization factor, no thermal factor.

The 8 most intense peaks (2θ from 10° to 90°), in order of rising 2θ:
2theta  Rel. int.
29.67  100
34.33  34
34.54  17
49.33  12
49.49  24
58.63  29
58.91  14
61.61  12

Structure:
```
La5Pm5Sm2
1.0
7.8430 -2.6107 0.0000
7.8430 2.6107 0.0000
-5.2166 0.0000 10.3873
La Pm Sm
5 5 2
direct
0.0000 0.0000 0.0000 La
0.0823 0.0823 0.7488 La
0.2493 0.2493 0.2512 La
0.7507 0.7507 0.7488 La
0.9177 0.9177 0.2512 La
0.3330 0.3330 0.0003 Pm
0.4154 0.4154 0.7475 Pm
0.5000 0.5000 0.5000 Pm
0.5846 0.5846 0.2525 Pm
0.6670 0.6670 0.9997 Pm
0.1669 0.1669 0.4999 Sm
0.8331 0.8331 0.5001 Sm
```